Starting from the PBE+U geometry in Alexandria, the powder diffraction line list of Cs2VF6 was simulated for copper Kα.
Kinematic intensities with the Lorentz-polarization factor, no thermal factor.

Largest 10 diffraction maxima, low angle first, 2θ from 5° to 70°:
2θ (°), I (rel.)
22.7, 27
23.9, 45
25.7, 100
28.4, 24
33.2, 23
33.9, 16
37.5, 47
37.9, 26
43.2, 21
48.0, 16

```
data_Cs2VF6
_space_group_name_H-M_alt 'C m c m'
_space_group_IT_number 63
_space_group_name_Hall '-C 2c 2'
_cell_length_a 6.281
_cell_length_b 15.036
_cell_length_c 7.433
_cell_angle_alpha 90.00
_cell_angle_beta 90.00
_cell_angle_gamma 90.00
loop_
_atom_site_label
_atom_site_fract_x
_atom_site_fract_y
_atom_site_fract_z
_atom_site_occupancy
Cs1 0.000 0.047 0.250 1
Cs2 0.000 0.271 0.750 1
V1 0.000 0.383 0.250 1
F1 0.000 0.259 0.250 1
F2 0.000 0.495 0.750 1
F3 0.219 0.381 0.071 1
```

Starting from the PBE+U geometry in Alexandria, the powder diffraction line list of Cs2VF7 was simulated for copper Kα.
Kinematic intensities with the Lorentz-polarization factor, no thermal factor.

Largest 10 diffraction maxima, low angle first, 2θ from 5° to 70°:
2θ (°), I (rel.)
22.7, 100
23.0, 92
28.4, 41
28.9, 43
35.3, 19
36.3, 22
37.4, 29
37.9, 26
44.2, 16
44.6, 23

```
data_Cs2VF7
_space_group_name_H-M_alt 'C 1 2/c 1'
_space_group_IT_number 15
_space_group_name_Hall '-C 2yc'
_cell_length_a 15.076
_cell_length_b 6.743
_cell_length_c 10.665
_cell_angle_alpha 90.00
_cell_angle_beta 133.51
_cell_angle_gamma 90.00
loop_
_atom_site_label
_atom_site_fract_x
_atom_site_fract_y
_atom_site_fract_z
_atom_site_occupancy
Cs1 0.158 0.171 0.243 1
V1 0.000 0.304 0.750 1
F1 0.000 0.411 0.250 1
F2 0.074 0.070 0.897 1
F3 0.097 0.304 0.704 1
F4 0.139 0.389 0.978 1
```

Starting from the PBE+U geometry in Alexandria, the powder diffraction line list of CsV2F8 was simulated for copper Kα.
Kinematic intensities with the Lorentz-polarization factor, no thermal factor.

Largest 10 diffraction maxima, low angle first, 2θ from 5° to 70°:
2θ (°), I (rel.)
22.8, 100
23.0, 88
23.5, 92
27.6, 38
31.5, 34
32.7, 53
39.5, 31
43.2, 42
46.4, 32
56.8, 39

```
data_CsV2F8
_space_group_name_H-M_alt 'C 1 m 1'
_space_group_IT_number 8
_space_group_name_Hall 'C -2y'
_cell_length_a 5.684
_cell_length_b 9.359
_cell_length_c 6.457
_cell_angle_alpha 90.00
_cell_angle_beta 90.83
_cell_angle_gamma 90.00
loop_
_atom_site_label
_atom_site_fract_x
_atom_site_fract_y
_atom_site_fract_z
_atom_site_occupancy
Cs1 0.000 0.000 0.000 1
V1 0.469 0.173 0.481 1
F1 0.125 0.136 0.429 1
F2 0.147 0.500 0.380 1
F3 0.271 0.306 0.659 1
F4 0.407 0.000 0.670 1
F5 0.443 0.197 0.196 1
```

Starting from the PBE+U geometry in Alexandria, the powder diffraction line list of Cs3VF7 was simulated for copper Kα.
Kinematic intensities with the Lorentz-polarization factor, no thermal factor.

Largest 10 diffraction maxima, low angle first, 2θ from 5° to 70°:
2θ (°), I (rel.)
23.0, 19
25.0, 100
27.1, 26
28.3, 28
29.2, 36
32.8, 21
36.8, 31
41.2, 27
45.6, 17
48.2, 15

```
data_Cs3VF7
_space_group_name_H-M_alt 'P 4/m b m'
_space_group_IT_number 127
_space_group_name_Hall '-P 4 2ab'
_cell_length_a 8.638
_cell_length_b 8.638
_cell_length_c 6.299
_cell_angle_alpha 90.00
_cell_angle_beta 90.00
_cell_angle_gamma 90.00
loop_
_atom_site_label
_atom_site_fract_x
_atom_site_fract_y
_atom_site_fract_z
_atom_site_occupancy
Cs1 0.000 0.000 0.000 1
Cs2 0.194 0.306 0.500 1
V1 0.000 0.500 0.000 1
F1 0.000 0.000 0.500 1
F2 0.109 0.609 0.210 1
F3 0.156 0.344 0.000 1
```

Starting from the PBE+U geometry in Alexandria, the powder diffraction line list of CsVF3 was simulated for copper Kα.
Kinematic intensities with the Lorentz-polarization factor, no thermal factor.

Largest 10 diffraction maxima, low angle first, 2θ from 5° to 70°:
2θ (°), I (rel.)
25.5, 100
27.9, 46
29.2, 33
31.6, 68
36.1, 25
40.8, 34
41.2, 18
42.5, 24
43.9, 27
59.8, 18

```
data_CsVF3
_space_group_name_H-M_alt 'I m m m'
_space_group_IT_number 71
_space_group_name_Hall '-I 2 2'
_cell_length_a 3.451
_cell_length_b 8.514
_cell_length_c 12.248
_cell_angle_alpha 90.00
_cell_angle_beta 90.00
_cell_angle_gamma 90.00
loop_
_atom_site_label
_atom_site_fract_x
_atom_site_fract_y
_atom_site_fract_z
_atom_site_occupancy
Cs1 0.000 0.000 0.243 1
V1 0.000 0.248 0.000 1
F1 0.000 0.000 0.000 1
F2 0.000 0.260 0.391 1
F3 0.000 0.500 0.000 1
```

Starting from the PBE+U geometry in Alexandria, the powder diffraction line list of Cs2VZn3F12 was simulated for copper Kα.
Kinematic intensities with the Lorentz-polarization factor, no thermal factor.

Largest 10 diffraction maxima, low angle first, 2θ from 5° to 70°:
2θ (°), I (rel.)
23.3, 45
24.0, 38
27.2, 100
27.9, 92
28.2, 85
29.3, 52
44.7, 30
47.6, 48
49.1, 47
57.1, 28

```
data_Cs2VZn3F12
_space_group_name_H-M_alt 'R -3 m'
_space_group_IT_number 166
_space_group_name_Hall '-R 3 2"'
_cell_length_a 7.4208
_cell_length_b 7.4208
_cell_length_c 19.0181
_cell_angle_alpha 90.00
_cell_angle_beta 90.00
_cell_angle_gamma 120.00
loop_
_atom_site_label
_atom_site_fract_x
_atom_site_fract_y
_atom_site_fract_z
_atom_site_occupancy
Cs1 0.0000 0.0000 0.1118 1
V1 0.0000 0.0000 0.5000 1
Zn1 0.0000 0.5000 0.0000 1
F1 0.0710 0.5355 0.3575 1
F2 0.0889 0.5444 0.1121 1
```

Starting from the PBE+U geometry in Alexandria, the powder diffraction line list of CsWF3 was simulated for copper Kα.
Kinematic intensities with the Lorentz-polarization factor, no thermal factor.

Largest 10 diffraction maxima, low angle first, 2θ from 5° to 70°:
2θ (°), I (rel.)
26.2, 100
27.8, 43
35.0, 18
39.7, 26
45.3, 22
48.2, 39
53.9, 20
57.3, 9
57.7, 13
69.0, 9

```
data_CsWF3
_space_group_name_H-M_alt 'I 4/m m m'
_space_group_IT_number 139
_space_group_name_Hall '-I 4 2'
_cell_length_a 6.427
_cell_length_b 6.427
_cell_length_c 10.245
_cell_angle_alpha 90.00
_cell_angle_beta 90.00
_cell_angle_gamma 90.00
loop_
_atom_site_label
_atom_site_fract_x
_atom_site_fract_y
_atom_site_fract_z
_atom_site_occupancy
Cs1 0.000 0.500 0.250 1
W1 0.000 0.000 0.000 1
W2 0.000 0.000 0.500 1
F1 0.000 0.000 0.210 1
F2 0.235 0.235 0.500 1
```

Copy entry 7 word for word.
Starting from the PBE+U geometry in Alexandria, the powder diffraction line list of CsWF3 was simulated for copper Kα.
Kinematic intensities with the Lorentz-polarization factor, no thermal factor.

Largest 10 diffraction maxima, low angle first, 2θ from 5° to 70°:
2θ (°), I (rel.)
26.2, 100
27.8, 43
35.0, 18
39.7, 26
45.3, 22
48.2, 39
53.9, 20
57.3, 9
57.7, 13
69.0, 9

```
data_CsWF3
_space_group_name_H-M_alt 'I 4/m m m'
_space_group_IT_number 139
_space_group_name_Hall '-I 4 2'
_cell_length_a 6.427
_cell_length_b 6.427
_cell_length_c 10.245
_cell_angle_alpha 90.00
_cell_angle_beta 90.00
_cell_angle_gamma 90.00
loop_
_atom_site_label
_atom_site_fract_x
_atom_site_fract_y
_atom_site_fract_z
_atom_site_occupancy
Cs1 0.000 0.500 0.250 1
W1 0.000 0.000 0.000 1
W2 0.000 0.000 0.500 1
F1 0.000 0.000 0.210 1
F2 0.235 0.235 0.500 1
```